Calculated X-ray powder pattern of FeGeBiO4 for Cu Kα (weighted mean of Kα1 and Kα2), from the GGA+U geometry in Alexandria.
No peak broadening, texture or thermal motion is included.

Principal peaks in the range 2θ = 10–90°, in order of rising 2θ:
h k l  d_spacing  Position (°2θ)  intensity
0 1 1  5.483  16.16  47.4
0 0 2  4.394  20.21  21.1
0 2 0  3.508  25.39  24.3
1 2 1  2.885  31.00  14.5
0 2 2  2.742  32.66  24.0
2 1 1  2.702  33.16  100.0
2 2 0  2.325  38.74  20.3
2 1 3  2.038  44.44  15.9
0 3 3  1.827  49.91  30.1
2 2 4  1.597  57.74  29.2

```
data_FeGeBiO4
_chemical_formula_sum 'Fe4 Ge4 Bi4 O16'
_space_group_name_H-M_alt 'I m m a'
_space_group_IT_number 74
_space_group_name_Hall '-I 2b 2'
_cell_length_a 6.2074
_cell_length_b 7.0168
_cell_length_c 8.7877
_cell_angle_alpha 90.00
_cell_angle_beta 90.00
_cell_angle_gamma 90.00
loop_
_atom_site_label
_atom_site_type_symbol
_atom_site_fract_x
_atom_site_fract_y
_atom_site_fract_z
Fe1 Fe 0.0000 0.0000 0.0000
Ge1 Ge 0.0000 0.2500 0.3591
Bi1 Bi 0.2500 0.2500 0.7500
O1 O 0.0000 0.0376 0.2424
O2 O 0.2391 0.2500 0.4813
```